(1)
Computed powder diffractogram
Compound: RbHBrF6
Radiation: a wavelength of 1.5418 Å
Structure: DFT lattice parameters and positions (PBE)
No peak broadening, texture or thermal motion is included.

Most intense lines, 2θ = 10–90°, low angle first:
- 2θ 22.55, I 90
- 2θ 24.33, I 95
- 2θ 25.46, I 100
- 2θ 25.95, I 60
- 2θ 28.57, I 42
- 2θ 37.78, I 87
- 2θ 41.58, I 45
- 2θ 46.18, I 50

Cell lengths 4.7707, 5.2262, 6.2697 Å; angles 93.65, 91.09, 113.75 degrees
Fractional positions:
Rb1 0.0000 0.0000 0.0000
H1 0.2428 0.5157 0.7023
Br1 0.6581 0.3381 0.4613
F1 0.1650 0.3523 0.4805
F2 0.2771 0.5871 0.8532
F3 0.4832 0.9738 0.3201
F4 0.5945 0.1925 0.7335
F5 0.7175 0.4695 0.1845
F6 0.8342 0.7099 0.5826

---

(2)
Computed powder diffractogram
Compound: AcMg3Cd9
Radiation: a wavelength of 1.5418 Å
Structure: DFT lattice parameters and positions (PBE)
No peak broadening, texture or thermal motion is included.

Most intense lines, 2θ = 10–90°, low angle first:
- 2θ 24.69, I 25
- 2θ 29.48, I 43
- 2θ 30.54, I 58
- 2θ 34.58, I 45
- 2θ 35.48, I 100
- 2θ 35.81, I 41
- 2θ 39.10, I 25
- 2θ 56.25, I 22

Cell lengths 7.7246, 7.7246, 7.6977 Å; angles 98.85, 98.85, 133.81 degrees
Fractional positions:
Ac1 0.0000 0.0000 0.0000
Mg1 0.0000 0.5000 0.0000
Mg2 0.5000 0.0000 0.0000
Mg3 0.5000 0.5000 0.5000
Cd1 0.0000 0.0000 0.5000
Cd2 0.0023 0.3552 0.3490
Cd3 0.2873 0.5059 0.7832
Cd4 0.3552 0.0023 0.3490
Cd5 0.4941 0.7127 0.2168
Cd6 0.5059 0.2873 0.7832
Cd7 0.6448 0.9977 0.6510
Cd8 0.7127 0.4941 0.2168
Cd9 0.9977 0.6448 0.6510

---

(3)
Computed powder diffractogram
Compound: In4Br7
Radiation: a wavelength of 1.5418 Å
Structure: DFT lattice parameters and positions (PBE)
No peak broadening, texture or thermal motion is included.

Most intense lines, 2θ = 10–90°, low angle first:
- 2θ 22.79, I 90
- 2θ 27.43, I 95
- 2θ 29.26, I 51
- 2θ 29.49, I 64
- 2θ 30.38, I 48
- 2θ 32.09, I 50
- 2θ 33.58, I 40
- 2θ 46.55, I 100

Cell lengths 16.5858, 16.5858, 16.5858 Å; angles 27.21, 27.21, 27.21 degrees
Fractional positions:
In1 0.0000 0.0000 0.0000
In2 0.0836 0.0836 0.0836
In3 0.2066 0.2066 0.2066
In4 0.3465 0.3465 0.3465
In5 0.5000 0.5000 0.5000
In6 0.6535 0.6535 0.6535
In7 0.7934 0.7934 0.7934
In8 0.9164 0.9164 0.9164
Br1 0.1282 0.5985 0.5985
Br2 0.1298 0.1298 0.6405
Br3 0.1298 0.6405 0.1298
Br4 0.1535 0.1535 0.1535
Br5 0.3595 0.8702 0.8702
Br6 0.4015 0.4015 0.8718
Br7 0.4015 0.8718 0.4015
Br8 0.5985 0.1282 0.5985
Br9 0.5985 0.5985 0.1282
Br10 0.6405 0.1298 0.1298
Br11 0.8465 0.8465 0.8465
Br12 0.8702 0.3595 0.8702
Br13 0.8702 0.8702 0.3595
Br14 0.8718 0.4015 0.4015